Record 1
Theoretical PXRD pattern
Compound: GaNiF4
Radiation: a wavelength of 1.5418 Å
Structure: a crystal structure in Alexandria, relaxed with GGA+U

Atomic structure:
Cell lengths 4.607, 3.027, 6.245 Å; angles 90.00, 109.28, 90.00 degrees
Sites, in units of the cell vectors:
Ga 0.000 0.000 0.000
Ni 0.500 0.500 0.500
F 0.159 0.500 0.873
F 0.355 0.000 0.263
F 0.645 0.000 0.737
F 0.841 0.500 0.127

Top 12 peaks for 10° ≤ 2θ ≤ 80°, most intense first:
2θ = 21.00°, intensity 100.0; 2θ = 42.96°, intensity 39.8; 2θ = 29.27°, intensity 35.6; 2θ = 33.27°, intensity 26.6; 2θ = 36.16°, intensity 15.9; 2θ = 55.78°, intensity 14.7; 2θ = 30.32°, intensity 14.0; 2θ = 49.77°, intensity 13.6; 2θ = 60.35°, intensity 12.3; 2θ = 52.46°, intensity 11.0; 2θ = 58.44°, intensity 10.9; 2θ = 15.03°, intensity 9.0

Record 2
Theoretical PXRD pattern
Compound: GaNiF6
Radiation: a wavelength of 1.5418 Å
Structure: a crystal structure in Alexandria, relaxed with GGA+U

Atomic structure:
Cell lengths 4.878, 4.878, 8.942 Å; angles 90.00, 90.00, 120.00 degrees
Sites, in units of the cell vectors:
Ga 0.333 0.667 0.250
Ga 0.667 0.333 0.750
Ni 0.000 0.000 0.000
Ni 0.000 0.000 0.500
F 0.027 0.334 0.124
F 0.027 0.693 0.376
F 0.307 0.334 0.376
F 0.307 0.973 0.124
F 0.334 0.027 0.624
F 0.334 0.307 0.876
F 0.666 0.693 0.124
F 0.666 0.973 0.376
F 0.693 0.027 0.876
F 0.693 0.666 0.624
F 0.973 0.307 0.624
F 0.973 0.666 0.876

Top 12 peaks for 10° ≤ 2θ ≤ 80°, most intense first:
2θ = 29.08°, intensity 100.0; 2θ = 23.29°, intensity 83.3; 2θ = 55.79°, intensity 56.8; 2θ = 36.88°, intensity 32.9; 2θ = 42.21°, intensity 31.6; 2θ = 66.40°, intensity 29.0; 2θ = 47.62°, intensity 24.5; 2θ = 61.69°, intensity 21.8; 2θ = 21.03°, intensity 12.9; 2θ = 58.75°, intensity 10.3; 2θ = 53.15°, intensity 10.3; 2θ = 66.53°, intensity 8.4